Bi17W3O34: simulated PXRD pattern (CuKα), based on the GGA+U geometry in Alexandria.
Peak positions follow from Bragg's law for the DFT cell and can differ from measured ones.

Most intense lines, 5 to 70 degrees two-theta, low angle first:
27.3 deg, 3.266 Å, I 99, hkl 2 0 1; 27.5 deg, 3.239 Å, I 97, hkl 0 2 -3; 27.7 deg, 3.226 Å, I 100, hkl 1 -3 0; 28.1 deg, 3.171 Å, I 94, hkl -3 1 2; 31.3 deg, 2.856 Å, I 57, hkl 2 2 -2; 32.3 deg, 2.773 Å, I 49, hkl -1 1 3; 32.5 deg, 2.752 Å, I 51, hkl 3 -3 1; 45.9 deg, 1.976 Å, I 51, hkl -5 1 1; 53.2 deg, 1.721 Å, I 30, hkl 1 5 -2; 54.7 deg, 1.678 Å, I 38, hkl 3 -5 4

Crystal structure
```
data_Bi17W3O34
_chemical_formula_sum 'Bi17 W3 O34'
_cell_length_a 10.3051
_cell_length_b 10.4240
_cell_length_c 10.4400
_cell_angle_alpha 107.97
_cell_angle_beta 106.23
_cell_angle_gamma 113.11
_space_group_name_H-M_alt 'P 1'
_space_group_IT_number 1
loop_
_space_group_symop_operation_xyz
'x,y,z'
loop_
_atom_site_label
_atom_site_type_symbol
_atom_site_fract_x
_atom_site_fract_y
_atom_site_fract_z
Bi1 Bi 0.0000 0.0000 0.0000
Bi2 Bi 0.0154 0.3395 0.8780
Bi3 Bi 0.0930 0.7091 0.8205
Bi4 Bi 0.1301 0.0528 0.7176
Bi5 Bi 0.1512 0.3845 0.5938
Bi6 Bi 0.2986 0.1056 0.4214
Bi7 Bi 0.3421 0.4514 0.2817
Bi8 Bi 0.3791 0.7993 0.2161
Bi9 Bi 0.4626 0.1422 0.1277
Bi10 Bi 0.5389 0.8559 0.9121
Bi11 Bi 0.5865 0.1913 0.7909
Bi12 Bi 0.6234 0.5291 0.6602
Bi13 Bi 0.7016 0.8977 0.5745
Bi14 Bi 0.7944 0.5935 0.4002
Bi15 Bi 0.8513 0.9615 0.3162
Bi16 Bi 0.8804 0.2877 0.1865
Bi17 Bi 0.9301 0.6472 0.0790
W1 W 0.1994 0.7139 0.4986
W2 W 0.4551 0.4774 0.9915
W3 W 0.7454 0.2697 0.5154
O1 O 0.0220 0.6445 0.3087
O2 O 0.0353 0.7105 0.5826
O3 O 0.0966 0.2606 0.1191
O4 O 0.0977 0.4634 0.4170
O5 O 0.1080 0.6275 0.0191
O6 O 0.1221 0.1386 0.4890
O7 O 0.1254 0.9504 0.1859
O8 O 0.1781 0.9934 0.9211
O9 O 0.2047 0.3151 0.8223
O10 O 0.2870 0.9312 0.5740
O11 O 0.3066 0.7183 0.6849
O12 O 0.3391 0.7105 0.4146
O13 O 0.3588 0.5663 0.1028
O14 O 0.3844 0.3347 0.4257
O15 O 0.4047 0.8616 0.0340
O16 O 0.4375 0.3621 0.1235
O17 O 0.4579 0.5924 0.8828
O18 O 0.4654 0.3117 0.8543
O19 O 0.5292 0.1056 0.3555
O20 O 0.5614 0.0978 0.9684
O21 O 0.6175 0.3093 0.6434
O22 O 0.6292 0.8719 0.3420
O23 O 0.6384 0.6425 0.5045
O24 O 0.6678 0.6123 0.1231
O25 O 0.7310 0.3126 0.3010
O26 O 0.7606 0.4745 0.5497
O27 O 0.7751 0.1693 0.6483
O28 O 0.7932 0.0281 0.1194
O29 O 0.8175 0.3800 0.9769
O30 O 0.8815 0.6931 0.8551
O31 O 0.8849 0.1973 0.4449
O32 O 0.8860 0.8875 0.5098
O33 O 0.9426 0.0542 0.7921
O34 O 0.9979 0.4382 0.7009
```